# Tm2Si3Rh5
Theoretical powder diffractogram, copper Kα. Input: DFT lattice parameters and positions (GGA-PBE).
Intensities are scaled so that the largest is 100.

Structure:
```
Tm2Si3Rh5
1.0
2.012 -12.022 0.000
2.012 12.022 0.000
0.000 0.000 6.536
Tm Si Rh
4 6 10
Cartesian
2.012 11.541 3.268
2.012 4.216 3.329
2.012 -4.216 0.061
2.012 -11.541 0.000
2.012 9.354 1.594
2.012 5.499 0.140
2.012 1.153 1.899
2.012 -1.153 5.167
2.012 -5.499 3.409
2.012 -9.354 4.862
2.012 9.656 5.579
2.012 7.035 2.052
2.012 6.987 4.768
2.012 3.105 0.172
2.012 1.361 4.316
2.012 -1.361 1.048
2.012 -3.105 3.440
2.012 -6.987 1.500
2.012 -7.035 5.320
2.012 -9.656 2.311
```

Principal peaks in the range 2θ = 15–90°, in order of rising 2θ:
2θ = 35.4°, I = 20
2θ = 37.1°, I = 68
2θ = 37.2°, I = 100
2θ = 40.0°, I = 30
2θ = 40.5°, I = 31
2θ = 44.2°, I = 24
2θ = 45.0°, I = 37
2θ = 61.8°, I = 17
2θ = 70.8°, I = 26
2θ = 77.9°, I = 19

---

# Tm2Si3Rh2
Theoretical powder diffractogram, copper Kα. Input: DFT lattice parameters and positions (GGA-PBE).
Intensities are scaled so that the largest is 100.

Structure:
```
Tm2Si3Rh2
1.0
9.886 0.000 0.000
0.000 4.142 0.000
-2.689 0.000 5.819
Tm Si Rh
4 6 4
Cartesian
0.779 0.000 1.591
1.475 2.071 4.228
5.722 2.071 1.591
6.418 0.000 4.228
-1.344 2.071 2.909
-1.429 2.071 5.478
3.683 0.000 0.341
3.598 0.000 2.909
3.513 0.000 5.478
8.626 2.071 0.341
-0.635 0.000 4.236
2.890 2.071 1.583
4.307 2.071 4.236
7.832 0.000 1.583
```

Principal peaks in the range 2θ = 15–90°, in order of rising 2θ:
2θ = 23.7°, I = 86
2θ = 30.7°, I = 69
2θ = 35.5°, I = 70
2θ = 37.1°, I = 100
2θ = 39.1°, I = 39
2θ = 39.5°, I = 89
2θ = 40.2°, I = 38
2θ = 42.5°, I = 37
2θ = 43.7°, I = 51
2θ = 54.4°, I = 28

---

# Tm3Si6Rh20
Theoretical powder diffractogram, copper Kα. Input: DFT lattice parameters and positions (GGA-PBE).
Intensities are scaled so that the largest is 100.

Structure:
```
Tm3Si6Rh20
1.0
0.000 6.027 6.027
6.027 0.000 6.027
6.027 6.027 0.000
Tm Si Rh
3 6 20
Cartesian
0.000 0.000 0.000
3.013 3.013 3.013
9.040 9.040 9.040
6.027 6.027 3.305
6.027 3.305 6.027
8.749 6.027 6.027
3.305 6.027 6.027
6.027 8.749 6.027
6.027 6.027 8.749
2.063 2.063 0.000
3.964 3.964 0.000
2.063 0.000 2.063
6.027 3.964 2.063
3.964 0.000 3.964
6.027 2.063 3.964
7.464 4.590 4.590
0.000 2.063 2.063
3.964 6.027 2.063
3.964 2.063 6.027
4.590 4.590 4.590
7.464 7.464 4.590
7.464 4.590 7.464
4.590 7.464 4.590
4.590 4.590 7.464
7.464 7.464 7.464
0.000 3.964 3.964
2.063 6.027 3.964
2.063 3.964 6.027
4.590 7.464 7.464
```

Principal peaks in the range 2θ = 15–90°, in order of rising 2θ:
2θ = 33.2°, I = 22
2θ = 36.5°, I = 40
2θ = 38.8°, I = 100
2θ = 42.4°, I = 34
2θ = 44.5°, I = 21
2θ = 45.1°, I = 11
2θ = 50.2°, I = 12
2θ = 65.7°, I = 29
2θ = 67.3°, I = 15
2θ = 77.6°, I = 23